Record 1
Starting from a GGA-PBE-relaxed structure, the XRD peak list of CeZn5InAu2 was simulated for Cu Kα (λ = 1.5418 Å).
Peak positions follow from Bragg's law for the DFT cell and can differ from measured ones.

Atomic structure:
```
data_CeZn5InAu2
_chemical_formula_sum 'Ce1 Zn5 In1 Au2'
_space_group_name_H-M_alt 'P 4/m m m'
_space_group_IT_number 123
_space_group_name_Hall '-P 4 2'
_cell_length_a 4.959
_cell_length_b 4.959
_cell_length_c 7.647
_cell_angle_alpha 90.00
_cell_angle_beta 90.00
_cell_angle_gamma 90.00
loop_
_atom_site_label
_atom_site_type_symbol
_atom_site_fract_x
_atom_site_fract_y
_atom_site_fract_z
_atom_site_occupancy
Ce1 Ce 0.000 0.000 0.000 1
Zn1 Zn 0.000 0.500 0.252 1
Zn2 Zn 0.500 0.500 0.000 1
In1 In 0.000 0.000 0.500 1
Au1 Au 0.500 0.500 0.325 1
```

Peak list (8 most intense, 2θ = 5–70°, sorted by position)
| two_theta | I/Imax | index |
| --- | --- | --- |
| 25.4 | 463 | 1 1 0 |
| 29.5 | 580 | 1 0 2 |
| 34.7 | 323 | 1 1 2 |
| 36.2 | 1000 | 2 0 0 |
| 39.8 | 297 | 1 0 3 |
| 43.9 | 262 | 1 1 3 |
| 47.4 | 318 | 2 1 2 |
| 52.2 | 348 | 2 2 0 |

Record 2
Starting from a GGA-PBE-relaxed structure, the XRD peak list of Ce5IrAu2 was simulated for Cu Kα (λ = 1.5418 Å).
Peak positions follow from Bragg's law for the DFT cell and can differ from measured ones.

Atomic structure:
```
data_Ce5IrAu2
_chemical_formula_sum 'Ce10 Ir2 Au4'
_space_group_name_H-M_alt 'P b a m'
_space_group_IT_number 55
_cell_length_a 7.458
_cell_length_b 11.850
_cell_length_c 4.691
_cell_angle_alpha 90.00
_cell_angle_beta 90.00
_cell_angle_gamma 90.00
loop_
_space_group_symop_operation_xyz
'x,y,z'
'-x,-y,-z'
'-x,-y,z'
'x,y,-z'
'x+1/2,-y+1/2,-z'
'-x+1/2,y+1/2,z'
'-x+1/2,y+1/2,-z'
'x+1/2,-y+1/2,z'
loop_
_atom_site_label
_atom_site_type_symbol
_atom_site_fract_x
_atom_site_fract_y
_atom_site_fract_z
_atom_site_occupancy
Ce1 Ce 0.000 0.000 0.000 1
Ce2 Ce 0.126 0.285 0.000 1
Ce3 Ce 0.215 0.558 0.500 1
Ir1 Ir 0.000 0.500 0.000 1
Au1 Au 0.102 0.816 0.500 1
```

Peak list (8 most intense, 2θ = 5–70°, sorted by position)
| two_theta | I/Imax | index |
| --- | --- | --- |
| 30.6 | 268 | 2 0 1 |
| 31.6 | 1000 | 2 1 1 |
| 32.0 | 354 | 1 3 1 |
| 32.5 | 459 | 1 4 0 |
| 34.2 | 656 | 2 2 1 |
| 38.4 | 633 | 0 0 2 |
| 51.2 | 258 | 1 4 2 |
| 51.4 | 259 | 4 2 0 |

Record 3
Starting from a GGA-PBE-relaxed structure, the XRD peak list of Ce3Ir2Au was simulated for Cu Kα (λ = 1.5418 Å).
Peak positions follow from Bragg's law for the DFT cell and can differ from measured ones.

Atomic structure:
```
data_Ce3Ir2Au
_chemical_formula_sum 'Ce12 Ir8 Au4'
_space_group_name_H-M_alt 'C 1 2/c 1'
_space_group_IT_number 15
_cell_length_a 13.112
_cell_length_b 5.835
_cell_length_c 8.155
_cell_angle_alpha 90.00
_cell_angle_beta 108.15
_cell_angle_gamma 90.00
loop_
_space_group_symop_operation_xyz
'x,y,z'
'-x,-y,-z'
'-x,y,-z+1/2'
'x,-y,z+1/2'
'x+1/2,y+1/2,z'
'-x+1/2,-y+1/2,-z'
'-x+1/2,y+1/2,-z+1/2'
'x+1/2,-y+1/2,z+1/2'
loop_
_atom_site_label
_atom_site_type_symbol
_atom_site_fract_x
_atom_site_fract_y
_atom_site_fract_z
_atom_site_occupancy
Ce1 Ce 0.000 0.001 0.250 1
Ce2 Ce 0.184 0.500 0.092 1
Ir1 Ir 0.161 0.000 0.080 1
Au1 Au 0.000 0.499 0.750 1
```

Peak list (8 most intense, 2θ = 5–70°, sorted by position)
| two_theta | I/Imax | index |
| --- | --- | --- |
| 30.7 | 1000 | 0 2 0 |
| 43.6 | 115 | 6 0 0 |
| 43.9 | 497 | 2 2 2 |
| 44.4 | 125 | 2 0 -4 |
| 54.2 | 123 | 6 2 0 |
| 54.9 | 134 | 2 2 -4 |
| 63.8 | 43 | 0 4 0 |
| 64.0 | 74 | 4 0 4 |

Record 4
Starting from a GGA-PBE-relaxed structure, the XRD peak list of CeIr2Au was simulated for Cu Kα (λ = 1.5418 Å).
Peak positions follow from Bragg's law for the DFT cell and can differ from measured ones.

Atomic structure:
```
data_CeIr2Au
_chemical_formula_sum 'Ce1 Ir2 Au1'
_space_group_name_H-M_alt 'P 4/m m m'
_space_group_IT_number 123
_space_group_name_Hall '-P 4 2'
_cell_length_a 4.246
_cell_length_b 4.246
_cell_length_c 3.993
_cell_angle_alpha 90.00
_cell_angle_beta 90.00
_cell_angle_gamma 90.00
loop_
_atom_site_label
_atom_site_type_symbol
_atom_site_fract_x
_atom_site_fract_y
_atom_site_fract_z
_atom_site_occupancy
Ce1 Ce 0.000 0.000 0.000 1
Ir1 Ir 0.000 0.500 0.500 1
Au1 Au 0.500 0.500 0.000 1
```

Peak list (8 most intense, 2θ = 5–70°, sorted by position)
| two_theta | I/Imax | index |
| --- | --- | --- |
| 20.9 | 13 | 1 0 0 |
| 30.7 | 11 | 1 0 1 |
| 37.5 | 1000 | 1 1 1 |
| 42.6 | 351 | 2 0 0 |
| 45.4 | 146 | 0 0 2 |
| 53.4 | 5 | 2 1 1 |
| 61.8 | 118 | 2 2 0 |
| 64.0 | 212 | 2 0 2 |

Record 5
Starting from a GGA-PBE-relaxed structure, the XRD peak list of Ce5IrAu was simulated for Cu Kα (λ = 1.5418 Å).
Peak positions follow from Bragg's law for the DFT cell and can differ from measured ones.

Atomic structure:
```
data_Ce5IrAu
_chemical_formula_sum 'Ce10 Ir2 Au2'
_space_group_name_H-M_alt 'I m m 2'
_space_group_IT_number 44
_cell_length_a 5.543
_cell_length_b 6.520
_cell_length_c 9.558
_cell_angle_alpha 90.00
_cell_angle_beta 90.00
_cell_angle_gamma 90.00
loop_
_space_group_symop_operation_xyz
'x,y,z'
'-x,-y,z'
'-x,y,z'
'x,-y,z'
'x+1/2,y+1/2,z+1/2'
'-x+1/2,-y+1/2,z+1/2'
'-x+1/2,y+1/2,z+1/2'
'x+1/2,-y+1/2,z+1/2'
loop_
_atom_site_label
_atom_site_type_symbol
_atom_site_fract_x
_atom_site_fract_y
_atom_site_fract_z
_atom_site_occupancy
Ce1 Ce 0.000 0.000 0.000 1
Ce2 Ce 0.000 0.276 0.766 1
Ce3 Ce 0.246 0.500 0.088 1
Ir1 Ir 0.000 0.500 0.491 1
Au1 Au 0.000 0.000 0.306 1
```

Peak list (8 most intense, 2θ = 5–70°, sorted by position)
| two_theta | I/Imax | index |
| --- | --- | --- |
| 27.4 | 301 | 0 2 0 |
| 31.2 | 723 | 0 1 3 |
| 33.2 | 1000 | 0 2 2 |
| 36.5 | 733 | 2 1 1 |
| 37.5 | 231 | 2 0 2 |
| 45.6 | 259 | 2 1 3 |
| 47.0 | 204 | 2 2 2 |
| 50.4 | 260 | 2 0 4 |

Record 6
Starting from a GGA-PBE-relaxed structure, the XRD peak list of Ce4Ir3Au was simulated for Cu Kα (λ = 1.5418 Å).
Peak positions follow from Bragg's law for the DFT cell and can differ from measured ones.

Atomic structure:
```
data_Ce4Ir3Au
_chemical_formula_sum 'Ce4 Ir3 Au1'
_space_group_name_H-M_alt 'P 1 m 1'
_space_group_IT_number 6
_cell_length_a 7.103
_cell_length_b 3.494
_cell_length_c 7.116
_cell_angle_alpha 90.00
_cell_angle_beta 99.76
_cell_angle_gamma 90.00
loop_
_space_group_symop_operation_xyz
'x,y,z'
'x,-y,z'
loop_
_atom_site_label
_atom_site_type_symbol
_atom_site_fract_x
_atom_site_fract_y
_atom_site_fract_z
_atom_site_occupancy
Ce1 Ce 0.000 0.000 0.000 1
Ce2 Ce 0.024 0.000 0.441 1
Ce3 Ce 0.464 0.000 0.464 1
Ce4 Ce 0.516 0.000 0.950 1
Ir1 Ir 0.224 0.500 0.746 1
Ir2 Ir 0.286 0.500 0.178 1
Ir3 Ir 0.720 0.500 0.243 1
Au1 Au 0.785 0.500 0.679 1
```

Peak list (8 most intense, 2θ = 5–70°, sorted by position)
| two_theta | I/Imax | index |
| --- | --- | --- |
| 30.4 | 103 | 1 1 -1 |
| 33.0 | 220 | 2 0 -2 |
| 36.3 | 1000 | 2 1 0 |
| 38.5 | 183 | 3 0 -1 |
| 39.3 | 220 | 2 0 2 |
| 52.4 | 101 | 0 2 0 |
| 57.3 | 103 | 3 1 -3 |
| 69.4 | 140 | 4 1 2 |

Record 7
Starting from a GGA-PBE-relaxed structure, the XRD peak list of KCeAu was simulated for Cu Kα (λ = 1.5418 Å).
Peak positions follow from Bragg's law for the DFT cell and can differ from measured ones.

Atomic structure:
```
data_KCeAu
_chemical_formula_sum 'K4 Ce4 Au4'
_space_group_name_H-M_alt 'C 1 2/m 1'
_space_group_IT_number 12
_cell_length_a 8.646
_cell_length_b 4.987
_cell_length_c 12.135
_cell_angle_alpha 90.00
_cell_angle_beta 103.78
_cell_angle_gamma 90.00
loop_
_space_group_symop_operation_xyz
'x,y,z'
'-x,-y,-z'
'-x,y,-z'
'x,-y,z'
'x+1/2,y+1/2,z'
'-x+1/2,-y+1/2,-z'
'-x+1/2,y+1/2,-z'
'x+1/2,-y+1/2,z'
loop_
_atom_site_label
_atom_site_type_symbol
_atom_site_fract_x
_atom_site_fract_y
_atom_site_fract_z
_atom_site_occupancy
K1 K 0.117 0.000 0.351 1
Ce1 Ce 0.132 0.500 0.898 1
Au1 Au 0.220 0.500 0.159 1
```

Peak list (8 most intense, 2θ = 5–70°, sorted by position)
| two_theta | I/Imax | index |
| --- | --- | --- |
| 7.5 | 1000 | 0 0 1 |
| 21.2 | 315 | 1 1 -1 |
| 28.9 | 125 | 2 0 2 |
| 34.8 | 218 | 2 0 3 |
| 36.0 | 322 | 0 2 0 |
| 36.8 | 162 | 3 1 -2 |
| 42.9 | 118 | 3 1 2 |
| 47.8 | 157 | 3 1 -5 |

Record 8
Starting from a GGA-PBE-relaxed structure, the XRD peak list of LaCe5Au6 was simulated for Cu Kα (λ = 1.5418 Å).
Peak positions follow from Bragg's law for the DFT cell and can differ from measured ones.

Atomic structure:
```
data_LaCe5Au6
_chemical_formula_sum 'La2 Ce10 Au12'
_space_group_name_H-M_alt 'C 1 2/m 1'
_space_group_IT_number 12
_cell_length_a 15.928
_cell_length_b 7.439
_cell_length_c 5.317
_cell_angle_alpha 90.00
_cell_angle_beta 109.15
_cell_angle_gamma 90.00
loop_
_space_group_symop_operation_xyz
'x,y,z'
'-x,-y,-z'
'-x,y,-z'
'x,-y,z'
'x+1/2,y+1/2,z'
'-x+1/2,-y+1/2,-z'
'-x+1/2,y+1/2,-z'
'x+1/2,-y+1/2,z'
loop_
_atom_site_label
_atom_site_type_symbol
_atom_site_fract_x
_atom_site_fract_y
_atom_site_fract_z
_atom_site_occupancy
La1 La 0.000 0.000 0.000 1
Ce1 Ce 0.000 0.500 0.000 1
Ce2 Ce 0.173 0.000 0.609 1
Ce3 Ce 0.179 0.500 0.611 1
Au1 Au 0.000 0.266 0.500 1
Au2 Au 0.166 0.257 0.084 1
```

Peak list (8 most intense, 2θ = 5–70°, sorted by position)
| two_theta | I/Imax | index |
| --- | --- | --- |
| 29.9 | 236 | 2 2 -1 |
| 33.7 | 315 | 2 0 -2 |
| 34.4 | 1000 | 2 2 1 |
| 34.5 | 922 | 4 2 -1 |
| 35.8 | 667 | 6 0 0 |
| 49.0 | 204 | 0 4 0 |
| 58.0 | 217 | 4 2 -3 |
| 62.1 | 283 | 6 4 0 |

Record 9
Starting from a GGA-PBE-relaxed structure, the XRD peak list of La2CeAu6 was simulated for Cu Kα (λ = 1.5418 Å).
Peak positions follow from Bragg's law for the DFT cell and can differ from measured ones.

Atomic structure:
```
data_La2CeAu6
_chemical_formula_sum 'La2 Ce1 Au6'
_space_group_name_H-M_alt 'P 6/m m m'
_space_group_IT_number 191
_space_group_name_Hall '-P 6 2'
_cell_length_a 8.3164
_cell_length_b 8.3164
_cell_length_c 3.6334
_cell_angle_alpha 90.00
_cell_angle_beta 90.00
_cell_angle_gamma 120.00
loop_
_atom_site_label
_atom_site_type_symbol
_atom_site_fract_x
_atom_site_fract_y
_atom_site_fract_z
_atom_site_occupancy
La1 La 0.3333 0.6667 0.0000 1
Ce1 Ce 0.0000 0.0000 0.0000 1
Au1 Au 0.0000 0.3323 0.5000 1
```

Peak list (8 most intense, 2θ = 5–70°, sorted by position)
| two_theta | I/Imax | index |
| --- | --- | --- |
| 24.5 | 200 | 0 0 1 |
| 32.7 | 1000 | 1 1 1 |
| 37.5 | 883 | 3 0 0 |
| 45.3 | 248 | 3 0 1 |
| 50.6 | 297 | 2 2 1 |
| 64.3 | 368 | 3 0 2 |
| 64.6 | 285 | 4 1 1 |
| 67.6 | 159 | 3 3 0 |

Record 10
Starting from a GGA-PBE-relaxed structure, the XRD peak list of Li4CeAu was simulated for Cu Kα (λ = 1.5418 Å).
Peak positions follow from Bragg's law for the DFT cell and can differ from measured ones.

Atomic structure:
```
data_Li4CeAu
_chemical_formula_sum 'Li16 Ce4 Au4'
_space_group_name_H-M_alt 'F -4 3 m'
_space_group_IT_number 216
_space_group_name_Hall 'F -4 2 3'
_cell_length_a 7.561
_cell_length_b 7.561
_cell_length_c 7.561
_cell_angle_alpha 90.00
_cell_angle_beta 90.00
_cell_angle_gamma 90.00
loop_
_atom_site_label
_atom_site_type_symbol
_atom_site_fract_x
_atom_site_fract_y
_atom_site_fract_z
_atom_site_occupancy
Li1 Li 0.122 0.122 0.378 1
Ce1 Ce 0.000 0.000 0.000 1
Au1 Au 0.250 0.250 0.750 1
```

Peak list (8 most intense, 2θ = 5–70°, sorted by position)
| two_theta | I/Imax | index |
| --- | --- | --- |
| 20.3 | 1000 | 1 1 1 |
| 23.5 | 31 | 2 0 0 |
| 33.5 | 932 | 2 2 0 |
| 39.5 | 668 | 3 1 1 |
| 48.1 | 150 | 4 0 0 |
| 52.8 | 246 | 3 3 1 |
| 59.9 | 355 | 4 2 2 |
| 64.0 | 218 | 3 3 3 |

Record 11
Starting from a GGA-PBE-relaxed structure, the XRD peak list of Li2Ce3Au4 was simulated for Cu Kα (λ = 1.5418 Å).
Peak positions follow from Bragg's law for the DFT cell and can differ from measured ones.

Atomic structure:
```
data_Li2Ce3Au4
_chemical_formula_sum 'Li4 Ce6 Au8'
_space_group_name_H-M_alt 'C 1 2/m 1'
_space_group_IT_number 12
_cell_length_a 10.759
_cell_length_b 4.705
_cell_length_c 8.822
_cell_angle_alpha 90.00
_cell_angle_beta 117.84
_cell_angle_gamma 90.00
loop_
_space_group_symop_operation_xyz
'x,y,z'
'-x,-y,-z'
'-x,y,-z'
'x,-y,z'
'x+1/2,y+1/2,z'
'-x+1/2,-y+1/2,-z'
'-x+1/2,y+1/2,-z'
'x+1/2,-y+1/2,z'
loop_
_atom_site_label
_atom_site_type_symbol
_atom_site_fract_x
_atom_site_fract_y
_atom_site_fract_z
_atom_site_occupancy
Li1 Li 0.163 0.000 0.329 1
Ce1 Ce 0.000 0.500 0.000 1
Ce2 Ce 0.138 0.000 0.676 1
Au1 Au 0.078 0.500 0.393 1
Au2 Au 0.217 0.000 0.070 1
```

Peak list (8 most intense, 2θ = 5–70°, sorted by position)
| two_theta | I/Imax | index |
| --- | --- | --- |
| 26.1 | 249 | 2 0 1 |
| 31.4 | 591 | 3 1 -1 |
| 33.9 | 306 | 4 0 -1 |
| 34.1 | 411 | 3 1 0 |
| 34.4 | 1000 | 1 1 2 |
| 38.1 | 851 | 3 1 -3 |
| 38.3 | 516 | 0 2 0 |
| 69.0 | 284 | 3 3 -3 |

Record 12
Starting from a GGA-PBE-relaxed structure, the XRD peak list of Li2Ce3Au9 was simulated for Cu Kα (λ = 1.5418 Å).
Peak positions follow from Bragg's law for the DFT cell and can differ from measured ones.

Atomic structure:
```
data_Li2Ce3Au9
_chemical_formula_sum 'Li4 Ce6 Au18'
_space_group_name_H-M_alt 'I m m m'
_space_group_IT_number 71
_space_group_name_Hall '-I 2 2'
_cell_length_a 4.183
_cell_length_b 10.693
_cell_length_c 13.443
_cell_angle_alpha 90.00
_cell_angle_beta 90.00
_cell_angle_gamma 90.00
loop_
_atom_site_label
_atom_site_type_symbol
_atom_site_fract_x
_atom_site_fract_y
_atom_site_fract_z
_atom_site_occupancy
Li1 Li 0.000 0.190 0.000 1
Ce1 Ce 0.000 0.000 0.209 1
Ce2 Ce 0.000 0.000 0.500 1
Au1 Au 0.000 0.302 0.365 1
Au2 Au 0.000 0.370 0.147 1
Au3 Au 0.000 0.500 0.500 1
```

Peak list (8 most intense, 2θ = 5–70°, sorted by position)
| two_theta | I/Imax | index |
| --- | --- | --- |
| 26.5 | 380 | 0 0 4 |
| 31.4 | 649 | 0 2 4 |
| 33.0 | 1000 | 1 3 0 |
| 33.8 | 879 | 1 2 3 |
| 35.3 | 484 | 1 1 4 |
| 40.6 | 397 | 1 4 1 |
| 42.8 | 736 | 1 3 4 |
| 43.3 | 732 | 2 0 0 |